Entry 1:
Diffraction record for Cd4Ag5. The X-ray powder pattern is computed, not measured: it uses the GGA-PBE geometry in Alexandria and Cu Kα, 1.54184 Å.
No peak broadening, texture or thermal motion is included.

Crystal structure
abc: 8.3369 8.3369 5.8221
angles: 90.00 90.00 120.00
Space group P6_3/mcm (No. 193)
Asymmetric unit:
Cd 0.0000 0.0000 0.0000
Cd 0.0000 0.3624 0.2500
Ag 0.0000 0.3078 0.7500
Ag 0.3333 0.6667 0.0000

Top 10 peaks for 2θ from 10° to 90°, in order of falling intensity:
- 37.4°, intensity 100.0
- 37.7°, intensity 94.8
- 54.1°, intensity 28.9
- 67.6°, intensity 26.5
- 76.5°, intensity 22.6
- 36.4°, intensity 13.2
- 67.4°, intensity 12.8
- 49.1°, intensity 7.7
- 64.0°, intensity 7.2
- 30.7°, intensity 7.2

=====

Entry 2:
Diffraction record for KPb6. The X-ray powder pattern is computed, not measured: it uses the GGA-PBE geometry in Alexandria and Cu Kα, 1.54184 Å.
No peak broadening, texture or thermal motion is included.

Crystal structure
abc: 10.640 6.951 13.303
angles: 90.00 90.00 90.00
Space group Pnma (No. 62)
Asymmetric unit:
K 0.242 0.250 0.064
Pb 0.061 0.016 0.307
Pb 0.075 0.750 0.090
Pb 0.107 0.250 0.530
Pb 0.149 0.750 0.852
Pb 0.192 0.250 0.770

Top 10 peaks for 2θ from 10° to 90°, in order of falling intensity:
- 34.3°, intensity 100.0
- 29.0°, intensity 71.8
- 33.8°, intensity 70.5
- 16.6°, intensity 68.0
- 31.5°, intensity 54.3
- 33.6°, intensity 42.1
- 28.1°, intensity 41.5
- 29.2°, intensity 33.7
- 34.8°, intensity 30.3
- 36.2°, intensity 26.8

=====

Entry 3:
Diffraction record for CePmTe3. The X-ray powder pattern is computed, not measured: it uses the GGA-PBE geometry in Alexandria and Cu Kα, 1.54184 Å.
No peak broadening, texture or thermal motion is included.

Crystal structure
abc: 4.421 7.770 9.855
angles: 90.00 90.00 90.00
Space group Pmmn (No. 59, origin choice 2)
Asymmetric unit:
Ce 0.250 0.250 0.157
Pm 0.250 0.750 0.400
Te 0.250 0.523 0.672
Te 0.250 0.750 0.067

Top 10 peaks for 2θ from 10° to 90°, in order of falling intensity:
- 32.0°, intensity 100.0
- 27.1°, intensity 36.3
- 29.5°, intensity 31.0
- 40.8°, intensity 25.8
- 36.0°, intensity 22.4
- 35.8°, intensity 21.2
- 34.0°, intensity 19.0
- 41.4°, intensity 15.6
- 24.6°, intensity 15.4
- 46.8°, intensity 15.4

=====

Entry 4:
Diffraction record for Nd3ThZn4. The X-ray powder pattern is computed, not measured: it uses the GGA-PBE geometry in Alexandria and Cu Kα, 1.54184 Å.
No peak broadening, texture or thermal motion is included.

Crystal structure
abc: 3.666 5.206 10.430
angles: 90.00 90.00 90.00
Space group Pmmm (No. 47)
Asymmetric unit:
Nd 0.000 0.000 0.000
Nd 0.000 0.500 0.252
Th 0.000 0.000 0.500
Zn 0.500 0.000 0.250
Zn 0.500 0.500 0.000
Zn 0.500 0.500 0.500

Top 10 peaks for 2θ from 10° to 90°, in order of falling intensity:
- 34.5°, intensity 100.0
- 34.4°, intensity 50.3
- 61.7°, intensity 36.7
- 24.2°, intensity 18.9
- 61.9°, intensity 18.2
- 49.5°, intensity 18.0
- 82.9°, intensity 11.9
- 72.8°, intensity 11.2
- 24.3°, intensity 9.3
- 49.7°, intensity 8.9

=====

Entry 5:
Diffraction record for KYCdB2. The X-ray powder pattern is computed, not measured: it uses the GGA-PBE geometry in Alexandria and Cu Kα, 1.54184 Å.
No peak broadening, texture or thermal motion is included.

Crystal structure
abc: 4.813 4.813 5.230
angles: 90.00 90.00 90.00
Space group P4/mmm (No. 123)
Asymmetric unit:
K 0.000 0.000 0.000
Y 0.500 0.500 0.500
Cd 0.000 0.000 0.500
B 0.000 0.500 0.000

Top 10 peaks for 2θ from 10° to 90°, in order of falling intensity:
- 26.2°, intensity 100.0
- 31.4°, intensity 78.3
- 17.0°, intensity 54.8
- 37.4°, intensity 50.2
- 43.6°, intensity 49.5
- 51.6°, intensity 37.3
- 34.3°, intensity 32.1
- 41.3°, intensity 25.1
- 71.8°, intensity 21.2
- 63.7°, intensity 19.1

=====

Entry 6:
Diffraction record for TmNi5Ir. The X-ray powder pattern is computed, not measured: it uses the GGA-PBE geometry in Alexandria and Cu Kα, 1.54184 Å.
No peak broadening, texture or thermal motion is included.

Crystal structure
abc: 7.855 4.833 9.869
angles: 90.00 90.00 90.00
Space group Pnma (No. 62)
Asymmetric unit:
Tm 0.244 0.250 0.060
Ni 0.060 0.750 0.092
Ni 0.067 0.006 0.309
Ni 0.100 0.250 0.521
Ni 0.182 0.250 0.758
Ir 0.147 0.750 0.852

Top 10 peaks for 2θ from 10° to 90°, in order of falling intensity:
- 40.2°, intensity 100.0
- 38.2°, intensity 74.7
- 40.3°, intensity 73.9
- 47.4°, intensity 66.7
- 37.2°, intensity 57.7
- 45.0°, intensity 52.9
- 34.9°, intensity 46.3
- 48.1°, intensity 45.6
- 43.4°, intensity 35.9
- 20.5°, intensity 32.7

=====

Entry 7:
Diffraction record for Mn2Tl5Cl12. The X-ray powder pattern is computed, not measured: it uses the GGA-PBE geometry in Alexandria and Cu Kα, 1.54184 Å.
No peak broadening, texture or thermal motion is included.

Crystal structure
abc: 16.758 7.721 9.295
angles: 90.00 109.15 90.00
Space group C2/m (No. 12)
Asymmetric unit:
Mn 0.000 0.249 0.000
Tl 0.000 0.500 0.500
Tl 0.187 0.000 0.841
Tl 0.199 0.000 0.371
Cl 0.001 0.500 0.816
Cl 0.003 0.000 0.182
Cl 0.119 0.270 0.563
Cl 0.148 0.249 0.086

Top 10 peaks for 2θ from 10° to 90°, in order of falling intensity:
- 22.4°, intensity 100.0
- 20.4°, intensity 98.0
- 30.5°, intensity 35.3
- 34.1°, intensity 30.8
- 40.1°, intensity 30.8
- 35.2°, intensity 29.7
- 23.0°, intensity 25.0
- 38.8°, intensity 22.1
- 24.9°, intensity 21.2
- 38.9°, intensity 21.1

=====

Entry 8:
Diffraction record for Ag5Br4Cl. The X-ray powder pattern is computed, not measured: it uses the GGA-PBE geometry in Alexandria and Cu Kα, 1.54184 Å.
No peak broadening, texture or thermal motion is included.

Crystal structure
abc: 9.074 9.074 6.819
angles: 90.00 90.00 90.00
Space group I4 (No. 79)
Asymmetric unit:
Ag 0.000 0.000 0.000
Ag 0.168 0.172 0.655
Br 0.076 0.305 0.973
Cl 0.000 0.000 0.419

Top 10 peaks for 2θ from 10° to 90°, in order of falling intensity:
- 32.4°, intensity 100.0
- 41.1°, intensity 56.7
- 16.3°, intensity 47.9
- 25.5°, intensity 47.8
- 13.8°, intensity 25.5
- 42.3°, intensity 25.3
- 32.9°, intensity 24.6
- 40.9°, intensity 22.7
- 52.2°, intensity 20.3
- 54.4°, intensity 18.8

=====

Entry 9:
Diffraction record for Zn8Cu5. The X-ray powder pattern is computed, not measured: it uses the GGA-PBE geometry in Alexandria and Cu Kα, 1.54184 Å.
No peak broadening, texture or thermal motion is included.

Crystal structure
abc: 8.877 8.877 8.877
angles: 90.00 90.00 90.00
Space group I-43m (No. 217)
Asymmetric unit:
Zn 0.034 0.314 0.686
Zn 0.110 0.110 0.890
Cu 0.000 0.000 0.356
Cu 0.172 0.172 0.172

Top 10 peaks for 2θ from 10° to 90°, in order of falling intensity:
- 43.2°, intensity 100.0
- 79.3°, intensity 18.7
- 89.7°, intensity 9.5
- 62.8°, intensity 8.8
- 35.0°, intensity 5.9
- 37.9°, intensity 5.1
- 48.1°, intensity 5.0
- 74.0°, intensity 4.7
- 72.2°, intensity 3.3
- 52.6°, intensity 3.2

=====

Entry 10:
Diffraction record for Sr9AlCo2. The X-ray powder pattern is computed, not measured: it uses the GGA-PBE geometry in Alexandria and Cu Kα, 1.54184 Å.
No peak broadening, texture or thermal motion is included.

Crystal structure
abc: 11.3531 11.3531 4.6655
angles: 90.00 90.00 120.00
Space group P6/mmm (No. 191)
Asymmetric unit:
Sr 0.0000 0.5000 0.0000
Sr 0.2099 0.4197 0.5000
Al 0.0000 0.0000 0.0000
Co 0.3333 0.6667 0.0000

Top 10 peaks for 2θ from 10° to 90°, in order of falling intensity:
- 30.8°, intensity 100.0
- 26.3°, intensity 79.8
- 31.5°, intensity 41.7
- 50.4°, intensity 24.2
- 33.4°, intensity 21.7
- 38.6°, intensity 21.7
- 50.7°, intensity 21.2
- 32.8°, intensity 18.2
- 23.9°, intensity 17.1
- 59.8°, intensity 14.6

=====

Entry 11:
Diffraction record for LiNi. The X-ray powder pattern is computed, not measured: it uses the GGA-PBE geometry in Alexandria and Cu Kα, 1.54184 Å.
No peak broadening, texture or thermal motion is included.

Crystal structure
abc: 2.547 2.547 7.929
angles: 90.00 90.00 90.00
Space group P4/nmm (No. 129, origin choice 2)
Asymmetric unit:
Li 0.250 0.250 0.163
Ni 0.250 0.250 0.603

Top 10 peaks for 2θ from 10° to 90°, in order of falling intensity:
- 11.2°, intensity 100.0
- 42.2°, intensity 28.2
- 49.7°, intensity 13.7
- 37.1°, intensity 11.1
- 50.7°, intensity 8.7
- 52.1°, intensity 7.8
- 89.5°, intensity 5.6
- 45.8°, intensity 4.2
- 70.7°, intensity 4.1
- 80.7°, intensity 3.6

=====

Entry 12:
Diffraction record for PaInRu. The X-ray powder pattern is computed, not measured: it uses the GGA-PBE geometry in Alexandria and Cu Kα, 1.54184 Å.
No peak broadening, texture or thermal motion is included.

Crystal structure
abc: 4.977 4.696 5.880
angles: 90.00 101.33 90.00
Space group P2_1/m (No. 11)
Asymmetric unit:
Pa 0.083 0.250 0.287
In 0.426 0.250 0.846
Ru 0.347 0.750 0.567

Top 10 peaks for 2θ from 10° to 90°, in order of falling intensity:
- 32.5°, intensity 100.0
- 38.3°, intensity 56.9
- 36.6°, intensity 53.6
- 24.4°, intensity 49.5
- 37.1°, intensity 39.1
- 28.7°, intensity 35.2
- 38.2°, intensity 30.7
- 51.4°, intensity 27.6
- 54.4°, intensity 25.8
- 41.9°, intensity 22.6